1.
VGaTe2O8: computed X-ray diffraction stick pattern (a wavelength of 1.5418 Å), based on a GGA+U-relaxed structure.

Peak list (12 most intense, 2θ = 10–90°, in order of rising 2θ)
two_theta, I/Imax
10.62, 15
18.46, 24
21.30, 47
23.77, 37
25.84, 21
27.83, 100
28.20, 19
28.35, 85
31.98, 40
33.49, 18
48.73, 21
54.19, 22

```
48
Lattice="8.105 0.000 0.000 0.000 5.021 0.000 -6.863 0.000 16.660" Properties=species:S:1:pos:R:3 pbc="T T T"
V 1.346 1.105 1.206
V -2.085 1.405 9.537
V 3.328 3.616 7.124
V -0.104 3.915 15.454
Ga 1.719 1.206 5.417
Ga -1.713 1.304 13.748
Ga 2.955 3.716 2.913
Ga -0.476 3.815 11.243
Te -3.564 3.694 12.033
Te -0.132 3.837 3.703
Te -0.569 3.296 7.174
Te -4.001 4.235 15.504
Te 5.243 0.786 1.156
Te 1.812 1.724 9.486
Te 1.375 1.183 12.957
Te 4.806 1.327 4.627
O -3.536 0.638 9.694
O -0.104 1.873 1.364
O -1.132 3.014 5.345
O -4.564 4.517 13.675
O -5.287 0.522 16.132
O -1.856 1.988 7.802
O 0.148 0.353 4.776
O -3.284 2.158 13.106
O -2.144 2.850 10.653
O 1.288 4.681 2.323
O 1.505 2.869 4.153
O -1.927 4.662 12.484
O -0.831 0.306 9.965
O 2.600 2.204 1.635
O -2.544 0.441 15.373
O 0.887 2.070 7.043
O 0.356 2.951 9.617
O 3.787 4.580 1.287
O -1.358 2.817 15.025
O 2.074 4.714 6.695
O 3.169 0.359 4.177
O -0.262 2.151 12.507
O -0.045 0.340 14.338
O 3.386 2.170 6.008
O 4.526 2.863 3.555
O 1.095 4.668 11.885
O 3.098 3.033 8.859
O 6.530 4.498 0.528
O 5.806 0.503 2.985
O 2.375 2.007 11.315
O 1.347 3.148 15.296
O 4.778 4.383 6.966
```

***

2.
Li3Mn2SnO6: computed X-ray diffraction stick pattern (a wavelength of 1.5418 Å), based on a GGA+U-relaxed structure.

Peak list (12 most intense, 2θ = 10–90°, in order of rising 2θ)
two_theta, I/Imax
13.26, 13
14.87, 8
17.76, 100
33.38, 20
34.14, 33
35.49, 22
40.52, 27
41.76, 49
45.16, 14
55.33, 10
59.24, 15
59.95, 16

```
12
Lattice="6.829 -1.536 0.000 6.829 1.536 0.000 -1.269 0.000 5.959" Properties=species:S:1:pos:R:3 pbc="T T T"
Li 0.000 0.000 0.000
Li 3.676 0.000 4.020
Li 8.712 0.000 1.939
Mn 4.312 0.000 0.905
Mn 8.076 0.000 5.055
Sn -0.634 0.000 2.980
O 1.390 0.000 3.571
O 2.162 0.000 0.426
O 5.831 0.000 4.371
O 6.558 0.000 1.589
O 10.227 0.000 5.533
O 10.999 0.000 2.388
```

***

3.
NaCr2O4: computed X-ray diffraction stick pattern (a wavelength of 1.5418 Å), based on a GGA+U-relaxed structure.

Peak list (12 most intense, 2θ = 10–90°, in order of rising 2θ)
two_theta, I/Imax
19.38, 45
19.59, 69
33.77, 61
34.14, 100
36.01, 92
36.13, 42
40.87, 26
50.28, 49
50.64, 37
61.86, 23
62.26, 37
62.48, 45

```
28
Lattice="9.065 0.000 0.000 0.000 2.974 0.000 0.000 0.000 10.618" Properties=species:S:1:pos:R:3 pbc="T T T"
Na 2.204 0.743 1.622
Na 2.328 2.230 6.931
Na 6.737 0.743 3.687
Na 6.861 2.230 8.996
Cr 0.581 0.743 4.112
Cr 0.730 0.743 9.504
Cr 3.802 2.230 4.195
Cr 3.951 2.230 9.421
Cr 5.114 0.743 1.197
Cr 5.263 0.743 6.423
Cr 8.335 2.230 1.114
Cr 8.484 2.230 6.506
O 0.193 2.230 8.330
O 0.685 0.743 6.079
O 1.022 2.230 0.187
O 1.867 2.230 3.730
O 2.666 0.743 9.039
O 3.510 0.743 5.496
O 3.848 2.230 0.770
O 4.340 0.743 3.021
O 4.725 2.230 7.597
O 5.217 0.743 9.849
O 5.555 2.230 5.122
O 6.399 2.230 1.579
O 7.198 0.743 6.888
O 8.043 0.743 10.431
O 8.380 2.230 4.539
O 8.872 0.743 2.288
```

***

4.
Mg2Fe3O8: computed X-ray diffraction stick pattern (a wavelength of 1.5418 Å), based on a GGA+U-relaxed structure.

Peak list (12 most intense, 2θ = 10–90°, in order of rising 2θ)
two_theta, I/Imax
18.87, 100
19.66, 35
25.66, 34
33.47, 29
35.73, 42
36.17, 67
39.92, 40
45.59, 50
52.72, 21
55.58, 21
61.01, 45
62.48, 41

```
26
Lattice="5.946 0.000 0.000 -2.973 5.149 0.000 0.000 0.000 9.404" Properties=species:S:1:pos:R:3 pbc="T T T"
Mg 0.000 3.433 0.000
Mg 0.000 3.433 3.698
Mg 2.973 1.716 4.702
Mg 2.973 1.716 8.401
Fe 0.000 1.690 6.777
Fe -1.509 4.304 6.777
Fe 1.464 0.845 2.075
Fe 1.509 4.304 6.777
Fe 4.482 0.845 2.075
Fe 2.973 3.459 2.075
O 0.000 0.000 3.125
O 0.000 0.000 7.827
O -1.318 2.672 7.912
O 0.000 1.668 1.118
O -1.528 4.315 1.118
O 1.445 0.834 5.820
O 0.000 3.433 5.699
O 1.318 2.672 7.912
O 0.000 4.955 7.912
O 2.973 0.195 3.210
O 1.655 2.477 3.210
O 2.973 1.716 0.996
O 1.528 4.315 1.118
O 4.501 0.834 5.820
O 2.973 3.481 5.820
O 4.291 2.477 3.210
```

***

5.
AlMoO3: computed X-ray diffraction stick pattern (a wavelength of 1.5418 Å), based on a GGA+U-relaxed structure.

Peak list (12 most intense, 2θ = 10–90°, in order of rising 2θ)
two_theta, I/Imax
21.66, 26
24.17, 34
32.68, 100
34.35, 21
34.53, 20
41.13, 13
49.50, 19
50.96, 14
60.47, 23
60.70, 24
68.47, 13
73.92, 14

```
20
Lattice="5.195 0.000 0.000 0.000 8.205 0.000 0.000 0.000 5.221" Properties=species:S:1:pos:R:3 pbc="T T T"
Al 0.005 2.051 0.138
Al 2.592 6.154 2.749
Al 2.602 2.051 2.472
Al 5.189 6.154 5.083
Mo 0.000 0.000 2.611
Mo 0.000 4.103 2.611
Mo 2.597 0.000 0.000
Mo 2.597 4.103 0.000
O 0.766 0.730 4.458
O 0.766 3.373 4.458
O 0.814 2.051 1.849
O 1.783 6.154 4.460
O 1.832 4.832 1.847
O 1.832 7.476 1.847
O 3.363 0.730 3.374
O 3.363 3.373 3.374
O 3.411 2.051 0.761
O 4.380 6.154 3.372
O 4.429 4.832 0.764
O 4.429 7.476 0.764
```

***

6.
SrLa2Mn2O7: computed X-ray diffraction stick pattern (a wavelength of 1.5418 Å), based on a GGA+U-relaxed structure.

Peak list (12 most intense, 2θ = 10–90°, in order of rising 2θ)
two_theta, I/Imax
22.97, 18
26.02, 11
31.43, 100
32.10, 64
41.77, 27
44.04, 13
46.04, 37
54.32, 8
55.53, 16
56.81, 37
65.61, 14
76.38, 10

```
24
Lattice="5.576 0.000 0.000 0.000 2.788 10.280 0.000 -2.788 10.280" Properties=species:S:1:pos:R:3 pbc="T T T"
Sr 0.000 0.000 20.558
Sr 2.788 0.000 10.280
La 0.000 0.000 3.642
La 0.000 0.000 7.518
La 2.788 0.000 13.920
La 2.788 0.000 17.805
Mn 0.000 0.000 11.982
Mn 0.000 0.000 16.054
Mn 2.788 0.000 1.775
Mn 2.788 0.000 5.793
O 0.000 0.000 9.805
O 0.000 0.000 14.143
O 0.000 0.000 18.089
O 1.442 -1.342 5.819
O 1.442 1.342 5.819
O 1.448 -1.445 12.209
O 1.448 1.445 12.209
O 2.788 0.000 3.919
O 2.788 0.000 7.830
O 2.788 0.000 20.062
O 4.128 -1.445 12.209
O 4.128 1.445 12.209
O 4.134 -1.342 5.819
O 4.134 1.342 5.819
```